Diffraction record for Sc5Ga2. The powder diffractogram is theoretical, not measured: it uses a DFT-relaxed cell (PBE, Alexandria) and Cu Kα (λ = 1.5418 Å).
Kinematic intensities with the Lorentz-polarization factor, no thermal factor.

Peak list (6 most intense, 10 to 90 degrees two-theta, sorted by position)
Position (°2θ)	d (Å)	I/Imax	index
23.2	3.838	50	1 2 1
32.7	2.736	44	1 1 2
36.1	2.488	99	2 4 0
37.0	2.430	40	3 1 0
38.5	2.340	100	2 0 2
40.2	2.243	93	0 4 2

Structure:
a b c (Å): 7.414 13.421 6.034
angles (deg): 90.00 90.00 90.00
Space group Ibam (No. 72)
Asymmetric unit:
Sc1 0.000 0.000 0.250 [4 per cell]
Sc2 0.000 0.229 0.250 [8 per cell]
Sc3 0.160 0.414 0.000 [8 per cell]
Ga1 0.221 0.373 0.500 [8 per cell]